# 1
Computed PXRD pattern of Nd2Y2CIBr2Cl2 for Cu Kα (λ = 1.5418 Å), from a cell relaxed with GGA-PBE.
Intensities are scaled so that the largest is 100.

```
data_Nd2Y2CIBr2Cl2
_space_group_name_H-M_alt 'C 1 2/m 1'
_space_group_IT_number 12
_cell_length_a 17.5519
_cell_length_b 3.8858
_cell_length_c 8.5368
_cell_angle_alpha 90.00
_cell_angle_beta 104.87
_cell_angle_gamma 90.00
loop_
_space_group_symop_operation_xyz
'x,y,z'
'-x,-y,-z'
'-x,y,-z'
'x,-y,z'
'x+1/2,y+1/2,z'
'-x+1/2,-y+1/2,-z'
'-x+1/2,y+1/2,-z'
'x+1/2,-y+1/2,z'
loop_
_atom_site_label
_atom_site_type_symbol
_atom_site_fract_x
_atom_site_fract_y
_atom_site_fract_z
_atom_site_occupancy
Nd1 Nd 0.1476 0.0000 0.0777 1
Y1 Y 0.0005 0.5000 0.8087 1
C1 C 0.0000 0.0000 0.0000 1
I1 I 0.0000 0.0000 0.5000 1
Br1 Br 0.1675 0.5000 0.3452 1
Cl1 Cl 0.1654 0.5000 0.8410 1
```

Top 10 peaks for 2θ = 15–90°, in order of falling intensity:
| two_theta | Rel. int. | hkl |
| --- | --- | --- |
| 31.13 | 100.0 | 1 1 -2 |
| 31.65 | 45.1 | 6 0 0 |
| 31.40 | 42.5 | 3 1 1 |
| 28.39 | 35.1 | 3 1 -1 |
| 20.95 | 31.0 | 4 0 -1 |
| 45.20 | 29.1 | 5 1 2 |
| 44.76 | 28.8 | 7 1 -2 |
| 16.80 | 27.9 | 2 0 1 |
| 36.85 | 19.9 | 2 0 3 |
| 34.00 | 18.2 | 4 0 -3 |

# 2
Computed PXRD pattern of HgAu10 for Cu Kα (λ = 1.5418 Å), from a cell relaxed with GGA-PBE.
Intensities are scaled so that the largest is 100.

```
data_HgAu10
_space_group_name_H-M_alt 'C 1 2/m 1'
_space_group_IT_number 12
_cell_length_a 9.0756
_cell_length_b 4.0320
_cell_length_c 32.9630
_cell_angle_alpha 90.00
_cell_angle_beta 90.17
_cell_angle_gamma 90.00
loop_
_space_group_symop_operation_xyz
'x,y,z'
'-x,-y,-z'
'-x,y,-z'
'x,-y,z'
'x+1/2,y+1/2,z'
'-x+1/2,-y+1/2,-z'
'-x+1/2,y+1/2,-z'
'x+1/2,-y+1/2,z'
loop_
_atom_site_label
_atom_site_type_symbol
_atom_site_fract_x
_atom_site_fract_y
_atom_site_fract_z
_atom_site_occupancy
Hg1 Hg 0.1521 0.0000 0.3143 1
Au1 Au 0.0471 0.0000 0.8083 1
Au2 Au 0.0489 0.5000 0.9560 1
Au3 Au 0.0496 0.5000 0.2519 1
Au4 Au 0.0514 0.0000 0.1032 1
Au5 Au 0.1483 0.5000 0.8681 1
Au6 Au 0.1491 0.0000 0.7182 1
Au7 Au 0.1504 0.0000 0.0147 1
Au8 Au 0.1520 0.5000 0.1623 1
Au9 Au 0.2467 0.5000 0.7796 1
Au10 Au 0.2490 0.0000 0.9266 1
```

Top 10 peaks for 2θ = 15–90°, in order of falling intensity:
| two_theta | Rel. int. | hkl |
| --- | --- | --- |
| 36.55 | 100.0 | 1 1 -10 |
| 38.10 | 77.4 | 3 1 3 |
| 38.81 | 46.9 | 3 1 4 |
| 44.96 | 29.2 | 0 2 0 |
| 44.26 | 28.2 | 4 0 -7 |
| 38.71 | 27.6 | 1 1 -11 |
| 40.82 | 26.9 | 2 0 13 |
| 43.35 | 21.8 | 2 0 14 |
| 64.93 | 18.3 | 4 2 -7 |
| 78.32 | 17.3 | 3 3 3 |

# 3
Computed PXRD pattern of USeS for Cu Kα (λ = 1.5418 Å), from a cell relaxed with GGA-PBE.
Intensities are scaled so that the largest is 100.

```
data_USeS
_space_group_name_H-M_alt 'P n m a'
_space_group_IT_number 62
_cell_length_a 7.2635
_cell_length_b 3.6287
_cell_length_c 9.1028
_cell_angle_alpha 90.00
_cell_angle_beta 90.00
_cell_angle_gamma 90.00
loop_
_space_group_symop_operation_xyz
'x,y,z'
'-x,-y,-z'
'-x+1/2,-y,z+1/2'
'x+1/2,y,-z+1/2'
'x+1/2,-y+1/2,-z+1/2'
'-x+1/2,y+1/2,z+1/2'
'-x,y+1/2,-z'
'x,-y+1/2,z'
loop_
_atom_site_label
_atom_site_type_symbol
_atom_site_fract_x
_atom_site_fract_y
_atom_site_fract_z
_atom_site_occupancy
U1 U 0.1220 0.2500 0.2461 1
Se1 Se 0.1287 0.2500 0.5858 1
S1 S 0.1244 0.2500 0.8957 1
```

Top 10 peaks for 2θ = 15–90°, in order of falling intensity:
| two_theta | Rel. int. | hkl |
| --- | --- | --- |
| 38.68 | 100.0 | 2 0 3 |
| 34.95 | 67.2 | 2 1 0 |
| 26.43 | 63.5 | 2 0 1 |
| 65.17 | 43.8 | 2 2 3 |
| 19.50 | 38.5 | 0 0 2 |
| 40.34 | 26.1 | 2 1 2 |
| 50.27 | 23.9 | 0 2 0 |
| 57.68 | 16.5 | 2 2 1 |
| 72.35 | 15.6 | 2 1 6 |
| 56.55 | 11.7 | 2 0 5 |

Q: What is the formula in the first record?
A: Nd2Y2CIBr2Cl2